1.
Diffraction record for HfPdPb3. The PXRD pattern is theoretical, not measured: it uses a GGA-PBE-relaxed structure and Cu Kα.
Neutral-atom scattering factors, no anomalous dispersion.

Crystal structure
Unit cell a=5.2948 b=5.2948 c=5.2948 alpha=90.00 beta=90.00 gamma=90.00
Space group Pm-3m (No. 221)
One atom of each set of equivalent atoms:
Hf: 0.0000 0.0000 0.0000 (multiplicity 1)
Pd: 0.5000 0.5000 0.5000 (multiplicity 1)
Pb: 0.0000 0.5000 0.5000 (multiplicity 3)

Main lines, by angle (15 to 90 degrees two-theta):
16.74°, I 12, (1 0 0); 29.21°, I 100, (1 1 1); 33.86°, I 90, (2 0 0); 38.00°, I 6, (2 1 0); 48.64°, I 66, (2 2 0); 57.75°, I 46, (3 1 1); 60.58°, I 23, (2 2 2); 71.24°, I 11, (4 0 0); 78.79°, I 20, (3 3 1); 81.25°, I 31, (4 2 0)

***

2.
Diffraction record for Ce3Nd2SmN6. The PXRD pattern is theoretical, not measured: it uses a GGA-PBE-relaxed structure and Cu Kα.
Neutral-atom scattering factors, no anomalous dispersion.

Crystal structure
Unit cell a=6.2284 b=10.7855 c=6.2238 alpha=90.00 beta=109.49 gamma=90.00
Space group C2/m (No. 12)
One atom of each set of equivalent atoms:
Ce: 0.0000 0.0000 0.0000 (multiplicity 2)
Ce: 0.0000 0.3336 0.0000 (multiplicity 4)
Nd: 0.0000 0.1667 0.5000 (multiplicity 4)
Sm: 0.0000 0.5000 0.5000 (multiplicity 2)
N: 0.2414 0.5000 0.2356 (multiplicity 4)
N: 0.2471 0.1648 0.2358 (multiplicity 8)

Main lines, by angle (15 to 90 degrees two-theta):
30.46°, I 100, (0 0 2); 35.31°, I 75, (1 3 1); 50.80°, I 52, (0 6 0); 60.39°, I 45, (1 3 3); 63.38°, I 17, (4 0 0); 74.69°, I 8, (2 6 2); 82.75°, I 19, (2 0 4); 85.40°, I 23, (4 6 0)

***

3.
Diffraction record for UCuCl5. The PXRD pattern is theoretical, not measured: it uses a GGA-PBE-relaxed structure and Cu Kα.
Neutral-atom scattering factors, no anomalous dispersion.

Crystal structure
Unit cell a=7.0982 b=7.1019 c=10.0058 alpha=69.70 beta=69.75 gamma=86.08
Space group P-1 (No. 2)
One atom of each set of equivalent atoms:
U: 0.0000 0.0000 0.0000 (multiplicity 1)
U: 0.5000 0.5000 0.5000 (multiplicity 1)
Cu: 0.1365 0.3637 0.2500 (multiplicity 2)
Cl: 0.1566 0.6691 0.5477 (multiplicity 2)
Cl: 0.1654 0.0938 0.1661 (multiplicity 2)
Cl: 0.1699 0.6570 0.0476 (multiplicity 2)
Cl: 0.3292 0.1715 0.7504 (multiplicity 2)
Cl: 0.4064 0.3336 0.3345 (multiplicity 2)

Main lines, by angle (15 to 90 degrees two-theta):
18.31°, I 35, (1 -1 0); 19.30°, I 100, (1 0 -1); 20.31°, I 51, (1 1 2); 29.48°, I 24, (2 -1 1); 32.07°, I 19, (1 2 3); 32.59°, I 17, (-2 1 1); 34.33°, I 18, (1 1 -2); 39.16°, I 22, (2 0 -2); 42.22°, I 15, (3 -1 0); 42.59°, I 18, (2 -2 2)

***

4.
Diffraction record for KGa6Au12. The PXRD pattern is theoretical, not measured: it uses a GGA-PBE-relaxed structure and Cu Kα.
Neutral-atom scattering factors, no anomalous dispersion.

Crystal structure
Unit cell a=6.8543 b=7.3999 c=8.9165 alpha=65.70 beta=77.02 gamma=66.91
Space group P-1 (No. 2)
One atom of each set of equivalent atoms:
K: 0.0000 0.0000 0.0000 (multiplicity 1)
Ga: 0.2051 0.4699 0.0514 (multiplicity 2)
Ga: 0.3074 0.3413 0.6518 (multiplicity 2)
Ga: 0.4993 0.7732 0.6735 (multiplicity 2)
Au: 0.0626 0.7215 0.7581 (multiplicity 2)
Au: 0.1035 0.5424 0.3315 (multiplicity 2)
Au: 0.1731 0.1018 0.5584 (multiplicity 2)
Au: 0.2836 0.7639 0.4378 (multiplicity 2)
Au: 0.4320 0.0509 0.1478 (multiplicity 2)
Au: 0.4694 0.6313 0.1479 (multiplicity 2)

Main lines, by angle (15 to 90 degrees two-theta):
17.19°, I 64, (1 0 1); 29.70°, I 50, (2 0 1); 32.01°, I 37, (1 1 -2); 32.88°, I 84, (1 2 3); 36.86°, I 62, (1 3 1); 36.98°, I 46, (-1 2 2); 37.51°, I 47, (2 0 -2); 40.16°, I 72, (1 -2 1); 40.77°, I 100, (0 1 -3); 42.06°, I 58, (3 1 2)

***

5.
Diffraction record for K5RbZn4Sn5S17. The PXRD pattern is theoretical, not measured: it uses a GGA-PBE-relaxed structure and Cu Kα.
Neutral-atom scattering factors, no anomalous dispersion.

Crystal structure
Unit cell a=9.7146 b=11.0264 c=11.0334 alpha=78.92 beta=63.94 gamma=63.92
Space group P1 (No. 1)
One atom of each set of equivalent atoms:
K: 0.0000 0.0000 0.0000 (multiplicity 1)
K: 0.0149 0.5068 0.4568 (multiplicity 1)
K: 0.2654 0.9852 0.4785 (multiplicity 1)
K: 0.5157 0.4633 0.4984 (multiplicity 1)
K: 0.5367 0.9690 0.9566 (multiplicity 1)
Rb: 0.5678 0.4815 0.9739 (multiplicity 1)
Zn: 0.0429 0.8527 0.3359 (multiplicity 1)
Zn: 0.6206 0.1278 0.3465 (multiplicity 1)
Zn: 0.6313 0.8424 0.6102 (multiplicity 1)
Zn: 0.7685 0.1172 0.6209 (multiplicity 1)
Sn: 0.0225 0.4853 0.9786 (multiplicity 1)
Sn: 0.3213 0.2008 0.7096 (multiplicity 1)
Sn: 0.7670 0.7697 0.2472 (multiplicity 1)
Sn: 0.9814 0.2172 0.2619 (multiplicity 1)
Sn: 0.9972 0.7527 0.6948 (multiplicity 1)
S: 0.0193 0.3255 0.8553 (multiplicity 1)
S: 0.0575 0.7166 0.1855 (multiplicity 1)
S: 0.1436 0.3588 0.1397 (multiplicity 1)
S: 0.1784 0.6114 0.8174 (multiplicity 1)
S: 0.1840 0.9897 0.1995 (multiplicity 1)
S: 0.1937 0.7074 0.4633 (multiplicity 1)
S: 0.3427 0.2643 0.4834 (multiplicity 1)
S: 0.3536 0.9699 0.7560 (multiplicity 1)
S: 0.4973 0.2538 0.7714 (multiplicity 1)
S: 0.6151 0.0005 0.2008 (multiplicity 1)
S: 0.6261 0.7061 0.4734 (multiplicity 1)
S: 0.7361 0.6441 0.1014 (multiplicity 1)
S: 0.7424 0.2779 0.2103 (multiplicity 1)
S: 0.7658 0.9850 0.4783 (multiplicity 1)
S: 0.7678 0.6917 0.7457 (multiplicity 1)
S: 0.9010 0.2629 0.4935 (multiplicity 1)
S: 0.9098 0.9802 0.7576 (multiplicity 1)

Main lines, by angle (15 to 90 degrees two-theta):
18.26°, I 36, (2 1 1); 20.04°, I 48, (0 2 1); 24.67°, I 37, (1 -2 1); 25.43°, I 59, (0 2 -2); 27.24°, I 100, (2 0 3); 27.81°, I 53, (1 2 -2); 35.73°, I 40, (1 2 -3); 42.67°, I 40, (3 1 -2); 52.79°, I 44, (4 6 2); 53.23°, I 38, (2 3 6)

***

6.
Diffraction record for Dy4Sb6O19. The PXRD pattern is theoretical, not measured: it uses a GGA-PBE-relaxed structure and Cu Kα.
Neutral-atom scattering factors, no anomalous dispersion.

Crystal structure
Unit cell a=8.0897 b=8.1016 c=8.1907 alpha=108.40 beta=111.14 gamma=108.23
Space group P1 (No. 1)
One atom of each set of equivalent atoms:
Dy: 0.0000 0.0000 0.0000 (multiplicity 1)
Dy: 0.0019 0.2621 0.7155 (multiplicity 1)
Dy: 0.2712 0.9664 0.6928 (multiplicity 1)
Dy: 0.7250 0.6824 0.4090 (multiplicity 1)
Sb: 0.1454 0.4991 0.3901 (multiplicity 1)
Sb: 0.3248 0.8045 0.2034 (multiplicity 1)
Sb: 0.4808 0.3021 0.5270 (multiplicity 1)
Sb: 0.5006 0.6363 0.8808 (multiplicity 1)
Sb: 0.6537 0.1322 0.2033 (multiplicity 1)
Sb: 0.8335 0.4369 0.0164 (multiplicity 1)
O: 0.0005 0.9792 0.7041 (multiplicity 1)
O: 0.0084 0.6879 0.4441 (multiplicity 1)
O: 0.0399 0.7332 0.0571 (multiplicity 1)
O: 0.2320 0.2476 0.3073 (multiplicity 1)
O: 0.2813 0.5807 0.9533 (multiplicity 1)
O: 0.3273 0.6989 0.6913 (multiplicity 1)
O: 0.3474 0.3266 0.7044 (multiplicity 1)
O: 0.3483 0.9741 0.0635 (multiplicity 1)
O: 0.3519 0.0112 0.4547 (multiplicity 1)
O: 0.3991 0.6662 0.3510 (multiplicity 1)
O: 0.5867 0.1934 0.9807 (multiplicity 1)
O: 0.6198 0.3595 0.3716 (multiplicity 1)
O: 0.6261 0.6043 0.7030 (multiplicity 1)
O: 0.6329 0.9656 0.3416 (multiplicity 1)
O: 0.6643 0.6070 0.1011 (multiplicity 1)
O: 0.7125 0.9298 0.0343 (multiplicity 1)
O: 0.7332 0.3178 0.7152 (multiplicity 1)
O: 0.9368 0.2858 0.4255 (multiplicity 1)
O: 0.9702 0.2483 0.9644 (multiplicity 1)

Main lines, by angle (15 to 90 degrees two-theta):
22.98°, I 47, (1 1 0); 23.15°, I 73, (0 2 -1); 23.27°, I 45, (0 1 -2); 29.57°, I 46, (-1 1 2); 29.76°, I 100, (2 1 -2); 29.94°, I 85, (-2 2 1); 30.63°, I 99, (1 -2 2); 32.77°, I 59, (1 1 1); 35.29°, I 44, (1 0 -3); 35.54°, I 50, (0 3 -1)

***

7.
Diffraction record for Ce4ZrP5. The PXRD pattern is theoretical, not measured: it uses a GGA-PBE-relaxed structure and Cu Kα.
Neutral-atom scattering factors, no anomalous dispersion.

Crystal structure
Unit cell a=8.9514 b=8.9514 c=5.6834 alpha=90.00 beta=90.00 gamma=90.00
Space group I4/m (No. 87)
One atom of each set of equivalent atoms:
Ce: 0.0969 0.7003 0.0000 (multiplicity 8)
Zr: 0.0000 0.0000 0.5000 (multiplicity 2)
P: 0.0000 0.0000 0.0000 (multiplicity 2)
P: 0.0972 0.7106 0.5000 (multiplicity 8)

Main lines, by angle (15 to 90 degrees two-theta):
27.25°, I 100, (1 2 1); 31.48°, I 46, (0 0 2); 31.61°, I 91, (3 1 0); 45.24°, I 98, (3 1 2); 53.51°, I 16, (1 2 3); 53.68°, I 32, (5 0 1); 56.21°, I 34, (2 4 2); 74.76°, I 15, (3 1 4); 75.00°, I 28, (6 2 2); 83.62°, I 22, (5 5 2)

***

8.
Diffraction record for YBeAg2O. The PXRD pattern is theoretical, not measured: it uses a GGA-PBE-relaxed structure and Cu Kα.
Neutral-atom scattering factors, no anomalous dispersion.

Crystal structure
Unit cell a=5.5454 b=5.5454 c=5.3583 alpha=90.00 beta=90.00 gamma=90.00
Space group P4/mmm (No. 123)
One atom of each set of equivalent atoms:
Y: 0.0000 0.0000 0.0000 (multiplicity 1)
Be: 0.0000 0.0000 0.5000 (multiplicity 1)
Ag: 0.0000 0.5000 0.0000 (multiplicity 2)
O: 0.5000 0.5000 0.5000 (multiplicity 1)

Main lines, by angle (15 to 90 degrees two-theta):
16.54°, I 100, (0 0 1); 23.08°, I 23, (1 0 1); 28.20°, I 33, (1 1 1); 32.29°, I 53, (2 0 0); 33.45°, I 24, (0 0 2); 36.49°, I 56, (2 0 1); 46.31°, I 18, (2 2 0); 47.17°, I 35, (2 0 2); 49.51°, I 23, (2 2 1); 58.32°, I 18, (2 2 2)

***

Question: Number 8 is which compound?
Answer: YBeAg2O